This entry pairs a crystal structure of Li6Tl2In3 with its theoretical X-ray diffraction stick pattern. Radiation: Cu Kα (weighted mean of Kα1 and Kα2). Structure: a PBE-relaxed structure.
No peak broadening, texture or thermal motion is included.

Atomic structure:
```
Li6Tl2In3
1.0
7.4479 0.0000 0.0000
0.0000 3.1566 0.0000
-0.6201 0.0000 9.6871
Li Tl In
6 2 3
Cartesian
0.3354 0.0000 1.3052
1.0725 0.0000 6.4354
3.0467 0.0000 1.9373
3.7811 0.0000 7.7498
5.7553 0.0000 3.2518
6.4924 0.0000 8.3820
1.5308 1.5783 9.1005
5.2970 1.5783 0.5867
0.8180 1.5783 3.7202
3.4139 0.0000 4.8436
6.0098 1.5783 5.9669
```

Top 12 peaks for 2θ from 10° to 80°, by angle:
2θ = 18.32°, intensity 70, hkl 0 0 2; 2θ = 21.25°, intensity 100, hkl 1 0 -2; 2θ = 26.23°, intensity 64, hkl 2 0 1; 2θ = 28.27°, intensity 33, hkl 0 1 0; 2θ = 29.77°, intensity 23, hkl 0 1 1; 2θ = 35.64°, intensity 24, hkl 1 1 -2; 2θ = 36.46°, intensity 41, hkl 1 1 2; 2θ = 36.87°, intensity 36, hkl 3 0 -1; 2θ = 37.38°, intensity 39, hkl 2 1 0; 2θ = 38.07°, intensity 34, hkl 2 0 3; 2θ = 38.35°, intensity 33, hkl 1 0 -4; 2θ = 41.22°, intensity 34, hkl 2 1 -2